[1]
The following is a computed X-ray powder pattern of TaPAu3. It was derived from the PBE geometry in OQMD, using Cu Kα, 1.54184 Å.

Most intense lines, 5 to 70 degrees two-theta, in order of rising 2θ:
Position (°2θ)	d (Å)	I_rel
16.01	5.536	28
32.34	2.768	34
32.68	2.740	100
37.48	2.399	38
44.28	2.046	46
46.64	1.947	59

Structure:
```
10
Lattice="6.392 0.000 0.000 -3.196 5.536 0.000 0.000 0.000 5.325" Properties=species:S:1:pos:R:3 pbc="T T T"
Ta 0.000 0.000 0.000
Ta 0.000 0.000 2.663
P 0.000 3.691 0.000
P 0.000 3.691 2.663
Au 2.399 0.390 1.331
Au 1.538 1.882 3.994
Au 3.993 0.390 3.994
Au 2.335 3.263 1.331
Au 4.855 1.882 1.331
Au 4.057 3.263 3.994
```

[2]
The following is a computed X-ray powder pattern of Pb2Au9. It was derived from the PBE geometry in OQMD, using Cu Kα, 1.54184 Å.

Most intense lines, 5 to 70 degrees two-theta, in order of rising 2θ:
Position (°2θ)	d (Å)	I_rel
5.24	16.868	97
35.99	2.495	100
40.09	2.249	23
43.05	2.101	58
59.64	1.550	28
65.33	1.428	16

Structure:
```
11
Lattice="3.101 0.000 0.000 -1.550 2.685 0.000 0.000 0.000 33.736" Properties=species:S:1:pos:R:3 pbc="T T T"
Pb 0.000 1.790 11.469
Pb 1.550 0.895 22.266
Au 0.000 0.000 0.000
Au 0.000 0.000 6.675
Au 0.000 0.000 27.061
Au 0.000 1.790 4.437
Au 0.000 1.790 24.788
Au 0.000 1.790 31.522
Au 1.550 0.895 2.213
Au 1.550 0.895 8.948
Au 1.550 0.895 29.298
```

[3]
The following is a computed X-ray powder pattern of PbAu15. It was derived from the PBE geometry in OQMD, using Cu Kα, 1.54184 Å.

Most intense lines, 5 to 70 degrees two-theta, in order of rising 2θ:
Position (°2θ)	d (Å)	I_rel
5.85	15.101	17
36.61	2.454	44
37.76	2.382	100
43.84	2.065	44
43.96	2.060	16
63.74	1.460	16

Structure:
```
32
Lattice="4.127 0.000 0.000 0.000 4.133 0.000 0.000 0.000 45.302" Properties=species:S:1:pos:R:3 pbc="T T T"
Pb 1.032 0.000 6.236
Pb 3.095 0.000 39.066
Au 1.032 0.000 11.090
Au 1.032 0.000 15.309
Au 1.032 0.000 19.509
Au 1.032 0.000 23.702
Au 1.032 0.000 27.891
Au 1.032 0.000 32.095
Au 1.032 0.000 36.322
Au 1.032 2.066 8.983
Au 1.032 2.066 13.209
Au 1.032 2.066 17.413
Au 1.032 2.066 21.602
Au 1.032 2.066 25.792
Au 1.032 2.066 29.986
Au 1.032 2.066 34.192
Au 1.032 2.066 38.371
Au 3.095 0.000 8.980
Au 3.095 0.000 13.207
Au 3.095 0.000 17.411
Au 3.095 0.000 21.600
Au 3.095 0.000 25.793
Au 3.095 0.000 29.993
Au 3.095 0.000 34.212
Au 3.095 2.066 6.931
Au 3.095 2.066 11.110
Au 3.095 2.066 15.316
Au 3.095 2.066 19.510
Au 3.095 2.066 23.700
Au 3.095 2.066 27.889
Au 3.095 2.066 32.093
Au 3.095 2.066 36.319
```